(1)
Starting from a structure optimized by DFT (PBE), the X-ray powder pattern of Sn3SbPd3 was simulated for λ = 1.5418 Å (Cu Kα).
Peak positions follow from Bragg's law for the DFT cell and can differ from measured ones.

Structural model:
```
data_Sn3SbPd3
_space_group_name_H-M_alt 'R -3'
_space_group_IT_number 148
_space_group_name_Hall '-R 3'
_cell_length_a 8.1587
_cell_length_b 8.1587
_cell_length_c 16.5427
_cell_angle_alpha 90.00
_cell_angle_beta 90.00
_cell_angle_gamma 120.00
loop_
_atom_site_label
_atom_site_type_symbol
_atom_site_fract_x
_atom_site_fract_y
_atom_site_fract_z
Sn1 Sn 0.0107 0.7239 0.1061
Sb1 Sb 0.0000 0.0000 0.3351
Pd1 Pd 0.0077 0.6397 0.9376
```

Most intense lines, 2θ from 10° to 80°, sorted by position:
21.8°, d 4.079, I = 32, hkl 1 1 0; 27.2°, d 3.279, I = 16, hkl 1 1 3; 32.5°, d 2.757, I = 12, hkl 0 0 6; 34.0°, d 2.636, I = 24, hkl 3 -1 1; 35.3°, d 2.541, I = 22, hkl 3 -2 2; 38.2°, d 2.355, I = 86, hkl 3 0 0; 39.4°, d 2.284, I = 100, hkl 2 -1 6; 51.0°, d 1.791, I = 11, hkl 0 3 6; 51.6°, d 1.770, I = 12, hkl 1 3 4; 56.1°, d 1.640, I = 24, hkl 2 2 6; 69.9°, d 1.346, I = 15, hkl 5 -1 6; 72.4°, d 1.306, I = 20, hkl 1 1 12


(2)
Starting from a structure optimized by DFT (PBE), the X-ray powder pattern of Sn2SbPd8 was simulated for λ = 1.5418 Å (Cu Kα).
Peak positions follow from Bragg's law for the DFT cell and can differ from measured ones.

Structural model:
```
data_Sn2SbPd8
_space_group_name_H-M_alt 'C 1 2/m 1'
_space_group_IT_number 12
_cell_length_a 14.751
_cell_length_b 4.233
_cell_length_c 6.294
_cell_angle_alpha 90.00
_cell_angle_beta 107.35
_cell_angle_gamma 90.00
loop_
_space_group_symop_operation_xyz
'x,y,z'
'-x,-y,-z'
'-x,y,-z'
'x,-y,z'
'x+1/2,y+1/2,z'
'-x+1/2,-y+1/2,-z'
'-x+1/2,y+1/2,-z'
'x+1/2,-y+1/2,z'
loop_
_atom_site_label
_atom_site_type_symbol
_atom_site_fract_x
_atom_site_fract_y
_atom_site_fract_z
Sn1 Sn 0.201 0.000 0.169
Sb1 Sb 0.000 0.500 0.500
Pd1 Pd 0.030 0.000 0.250
Pd2 Pd 0.092 0.500 0.951
Pd3 Pd 0.166 0.000 0.729
Pd4 Pd 0.170 0.500 0.426
```

Most intense lines, 2θ from 10° to 80°, sorted by position:
37.6°, d 2.395, I = 84, hkl 5 1 -1; 38.4°, d 2.345, I = 24, hkl 6 0 0; 38.8°, d 2.320, I = 100, hkl 1 1 2; 42.6°, d 2.121, I = 16, hkl 5 1 -2; 42.7°, d 2.116, I = 43, hkl 0 2 0; 44.9°, d 2.018, I = 22, hkl 4 0 -3; 45.5°, d 1.993, I = 21, hkl 6 0 1; 63.7°, d 1.461, I = 15, hkl 4 2 -3; 64.2°, d 1.451, I = 17, hkl 6 2 1; 67.5°, d 1.387, I = 7, hkl 2 0 4; 74.8°, d 1.269, I = 12, hkl 5 3 -1; 75.6°, d 1.258, I = 14, hkl 1 3 2


(3)
Starting from a structure optimized by DFT (PBE), the X-ray powder pattern of SnSb3Pd6 was simulated for λ = 1.5418 Å (Cu Kα).
Peak positions follow from Bragg's law for the DFT cell and can differ from measured ones.

Structural model:
```
data_SnSb3Pd6
_space_group_name_H-M_alt 'P 1 21/m 1'
_space_group_IT_number 11
_cell_length_a 9.773
_cell_length_b 3.348
_cell_length_c 12.355
_cell_angle_alpha 90.00
_cell_angle_beta 107.90
_cell_angle_gamma 90.00
loop_
_space_group_symop_operation_xyz
'x,y,z'
'-x,-y,-z'
'-x,y+1/2,-z'
'x,-y+1/2,z'
loop_
_atom_site_label
_atom_site_type_symbol
_atom_site_fract_x
_atom_site_fract_y
_atom_site_fract_z
Sn1 Sn 0.128 0.250 0.229
Sb1 Sb 0.144 0.750 0.669
Sb2 Sb 0.347 0.250 0.027
Sb3 Sb 0.411 0.250 0.593
Pd1 Pd 0.107 0.250 0.841
Pd2 Pd 0.119 0.250 0.487
Pd3 Pd 0.128 0.750 0.047
Pd4 Pd 0.304 0.750 0.401
Pd5 Pd 0.368 0.750 0.858
Pd6 Pd 0.415 0.250 0.252
```

Most intense lines, 2θ from 10° to 80°, sorted by position:
30.8°, d 2.905, I = 86, hkl 1 1 -2; 33.6°, d 2.663, I = 56, hkl 1 1 2; 35.3°, d 2.546, I = 55, hkl 0 1 3; 36.7°, d 2.448, I = 100, hkl 2 1 -3; 38.7°, d 2.325, I = 85, hkl 4 0 0; 39.1°, d 2.303, I = 48, hkl 3 1 -2; 39.7°, d 2.272, I = 83, hkl 1 1 -4; 40.4°, d 2.233, I = 49, hkl 3 0 -5; 42.4°, d 2.130, I = 56, hkl 1 0 5; 43.8°, d 2.066, I = 77, hkl 2 1 3; 44.2°, d 2.048, I = 37, hkl 1 0 -6; 54.8°, d 1.674, I = 57, hkl 0 2 0


(4)
Starting from a structure optimized by DFT (PBE), the X-ray powder pattern of Sn2Sb2Pd was simulated for λ = 1.5418 Å (Cu Kα).
Peak positions follow from Bragg's law for the DFT cell and can differ from measured ones.

Structural model:
```
data_Sn2Sb2Pd
_space_group_name_H-M_alt 'I b a m'
_space_group_IT_number 72
_space_group_name_Hall '-I 2 2c'
_cell_length_a 6.208
_cell_length_b 13.875
_cell_length_c 5.863
_cell_angle_alpha 90.00
_cell_angle_beta 90.00
_cell_angle_gamma 90.00
loop_
_atom_site_label
_atom_site_type_symbol
_atom_site_fract_x
_atom_site_fract_y
_atom_site_fract_z
Sn1 Sn 0.179 0.171 0.000
Sb1 Sb 0.170 0.409 0.000
Pd1 Pd 0.000 0.000 0.250
```

Most intense lines, 2θ from 10° to 80°, sorted by position:
30.5°, d 2.931, I = 21, hkl 0 0 2; 33.3°, d 2.691, I = 100, hkl 1 4 1; 35.4°, d 2.533, I = 16, hkl 1 5 0; 38.1°, d 2.359, I = 11, hkl 2 3 1; 39.2°, d 2.300, I = 12, hkl 1 3 2; 40.3°, d 2.239, I = 19, hkl 0 4 2; 42.4°, d 2.131, I = 19, hkl 2 0 2; 48.2°, d 1.889, I = 12, hkl 3 3 0; 56.0°, d 1.642, I = 23, hkl 1 4 3; 57.4°, d 1.606, I = 14, hkl 1 8 1; 62.2°, d 1.492, I = 13, hkl 4 1 1; 64.6°, d 1.444, I = 17, hkl 3 5 2


(5)
Starting from a structure optimized by DFT (PBE), the X-ray powder pattern of Sn3SbPd4 was simulated for λ = 1.5418 Å (Cu Kα).
Peak positions follow from Bragg's law for the DFT cell and can differ from measured ones.

Structural model:
```
data_Sn3SbPd4
_space_group_name_H-M_alt 'P m m n'
_space_group_IT_number 59
_cell_length_a 5.225
_cell_length_b 6.791
_cell_length_c 9.643
_cell_angle_alpha 90.00
_cell_angle_beta 90.00
_cell_angle_gamma 90.00
loop_
_space_group_symop_operation_xyz
'x,y,z'
'-x,-y,-z'
'-x+1/2,-y+1/2,z'
'x+1/2,y+1/2,-z'
'x+1/2,-y,-z'
'-x+1/2,y,z'
'-x,y+1/2,-z'
'x,-y+1/2,z'
loop_
_atom_site_label
_atom_site_type_symbol
_atom_site_fract_x
_atom_site_fract_y
_atom_site_fract_z
Sn1 Sn 0.250 0.003 0.186
Sn2 Sn 0.250 0.750 0.686
Sb1 Sb 0.250 0.250 0.689
Pd1 Pd 0.250 0.004 0.909
Pd2 Pd 0.250 0.250 0.413
Pd3 Pd 0.250 0.750 0.408
```

Most intense lines, 2θ from 10° to 80°, sorted by position:
27.9°, d 3.203, I = 100, hkl 0 2 1; 34.3°, d 2.612, I = 80, hkl 2 0 0; 38.6°, d 2.334, I = 35, hkl 0 2 3; 41.2°, d 2.189, I = 76, hkl 1 0 4; 42.4°, d 2.131, I = 77, hkl 1 2 3; 44.8°, d 2.024, I = 55, hkl 2 2 1; 52.6°, d 1.741, I = 29, hkl 2 2 3; 54.0°, d 1.698, I = 22, hkl 0 4 0; 65.6°, d 1.423, I = 24, hkl 2 4 0; 67.0°, d 1.396, I = 20, hkl 3 2 3; 70.2°, d 1.342, I = 32, hkl 1 4 4; 76.9°, d 1.240, I = 22, hkl 1 2 7


(6)
Starting from a structure optimized by DFT (PBE), the X-ray powder pattern of SnSbPd6 was simulated for λ = 1.5418 Å (Cu Kα).
Peak positions follow from Bragg's law for the DFT cell and can differ from measured ones.

Structural model:
```
data_SnSbPd6
_space_group_name_H-M_alt 'C m m m'
_space_group_IT_number 65
_space_group_name_Hall '-C 2 2'
_cell_length_a 8.109
_cell_length_b 8.111
_cell_length_c 4.028
_cell_angle_alpha 90.00
_cell_angle_beta 90.00
_cell_angle_gamma 90.00
loop_
_atom_site_label
_atom_site_type_symbol
_atom_site_fract_x
_atom_site_fract_y
_atom_site_fract_z
Sn1 Sn 0.000 0.000 0.000
Sb1 Sb 0.000 0.500 0.000
Pd1 Pd 0.000 0.248 0.500
Pd2 Pd 0.250 0.000 0.500
Pd3 Pd 0.250 0.250 0.000
```

Most intense lines, 2θ from 10° to 80°, sorted by position:
38.5°, d 2.336, I = 100, hkl 2 2 1; 44.7°, d 2.027, I = 33, hkl 4 0 0; 45.0°, d 2.014, I = 16, hkl 0 0 2; 65.1°, d 1.434, I = 11, hkl 4 4 0; 65.3°, d 1.429, I = 21, hkl 4 0 2; 78.2°, d 1.222, I = 25, hkl 6 2 1; 78.7°, d 1.216, I = 12, hkl 2 2 3


(7)
Starting from a structure optimized by DFT (PBE), the X-ray powder pattern of SrSb3Pd was simulated for λ = 1.5418 Å (Cu Kα).
Peak positions follow from Bragg's law for the DFT cell and can differ from measured ones.

Structural model:
```
data_SrSb3Pd
_space_group_name_H-M_alt 'P b c m'
_space_group_IT_number 57
_cell_length_a 14.046
_cell_length_b 6.318
_cell_length_c 6.164
_cell_angle_alpha 90.00
_cell_angle_beta 90.00
_cell_angle_gamma 90.00
loop_
_space_group_symop_operation_xyz
'x,y,z'
'-x,-y,-z'
'-x,-y,z+1/2'
'x,y,-z+1/2'
'x,-y+1/2,-z'
'-x,y+1/2,z'
'-x,y+1/2,-z+1/2'
'x,-y+1/2,z+1/2'
loop_
_atom_site_label
_atom_site_type_symbol
_atom_site_fract_x
_atom_site_fract_y
_atom_site_fract_z
Sr1 Sr 0.193 0.009 0.250
Sb1 Sb 0.000 0.250 0.000
Sb2 Sb 0.297 0.525 0.250
Sb3 Sb 0.441 0.612 0.750
Pd1 Pd 0.406 0.250 0.000
```

Most intense lines, 2θ from 10° to 80°, sorted by position:
12.6°, d 7.023, I = 20, hkl 2 0 0; 27.8°, d 3.211, I = 25, hkl 3 1 1; 31.0°, d 2.881, I = 65, hkl 2 2 0; 31.7°, d 2.822, I = 37, hkl 2 0 2; 31.9°, d 2.809, I = 20, hkl 5 0 0; 32.6°, d 2.747, I = 100, hkl 4 1 1; 34.8°, d 2.576, I = 44, hkl 3 0 2; 37.7°, d 2.384, I = 22, hkl 3 1 2; 40.9°, d 2.206, I = 65, hkl 0 2 2; 43.1°, d 2.099, I = 17, hkl 5 2 0; 53.7°, d 1.708, I = 27, hkl 4 1 3; 68.0°, d 1.378, I = 24, hkl 2 4 2


(8)
Starting from a structure optimized by DFT (PBE), the X-ray powder pattern of Sr3Sb2Pd2 was simulated for λ = 1.5418 Å (Cu Kα).
Peak positions follow from Bragg's law for the DFT cell and can differ from measured ones.

Structural model:
```
data_Sr3Sb2Pd2
_space_group_name_H-M_alt 'P b c m'
_space_group_IT_number 57
_cell_length_a 6.067
_cell_length_b 8.965
_cell_length_c 14.313
_cell_angle_alpha 90.00
_cell_angle_beta 90.00
_cell_angle_gamma 90.00
loop_
_space_group_symop_operation_xyz
'x,y,z'
'-x,-y,-z'
'-x,-y,z+1/2'
'x,y,-z+1/2'
'x,-y+1/2,-z'
'-x,y+1/2,z'
'-x,y+1/2,-z+1/2'
'x,-y+1/2,z+1/2'
loop_
_atom_site_label
_atom_site_type_symbol
_atom_site_fract_x
_atom_site_fract_y
_atom_site_fract_z
Sr1 Sr 0.145 0.107 0.099
Sr2 Sr 0.350 0.745 0.250
Sb1 Sb 0.157 0.102 0.750
Sb2 Sb 0.333 0.750 0.000
Pd1 Pd 0.388 0.039 0.589
```

Most intense lines, 2θ from 10° to 80°, sorted by position:
18.7°, d 4.741, I = 26, hkl 1 1 1; 30.7°, d 2.915, I = 38, hkl 1 1 4; 31.1°, d 2.875, I = 94, hkl 2 1 0; 32.0°, d 2.797, I = 42, hkl 0 2 4; 33.4°, d 2.681, I = 87, hkl 1 3 0; 35.3°, d 2.540, I = 25, hkl 1 2 4; 36.5°, d 2.461, I = 100, hkl 2 1 3; 37.7°, d 2.385, I = 26, hkl 0 0 6; 38.5°, d 2.337, I = 20, hkl 1 3 3; 40.3°, d 2.241, I = 19, hkl 2 1 4; 43.0°, d 2.104, I = 39, hkl 1 4 0; 53.3°, d 1.720, I = 20, hkl 3 2 3


- Number 3 is which compound?
  SnSb3Pd6